Simulated X-ray powder pattern of Rb3Tl3AgCl8 for a wavelength of 1.5418 Å, from a DFT-relaxed cell (PBE, Alexandria).
Intensities are scaled so that the largest is 100.

Main lines, most intense first (15° ≤ 2θ ≤ 90°):
Position (°2θ)	I_rel
27.35	100
39.07	70
23.72	68
27.56	46
39.34	34
46.28	24
23.58	23
63.80	22
48.49	17
22.61	15

Crystal structure
Unit cell a=9.1625 b=9.1625 c=9.2303 alpha=119.85 beta=119.85 gamma=60.41
Atoms (fractional coordinates):
Rb  0.0000  0.0000  0.0000
Rb  0.0000  0.5000  0.5000
Rb  0.5000  0.0000  0.5000
Tl  0.0000  0.5000  0.0000
Tl  0.5000  0.0000  0.0000
Tl  0.5000  0.5000  0.5000
Ag  0.5000  0.5000  0.0000
Cl  0.2506  0.2506  0.2478
Cl  0.2855  0.7103  0.2141
Cl  0.2897  0.7145  0.7859
Cl  0.3065  0.3065  0.8086
Cl  0.6935  0.6935  0.1914
Cl  0.7103  0.2855  0.2141
Cl  0.7145  0.2897  0.7859
Cl  0.7494  0.7494  0.7522

Simulated X-ray powder pattern of Rb4Tl3AgCl8 for a wavelength of 1.5418 Å, from a DFT-relaxed cell (PBE, Alexandria).
Intensities are scaled so that the largest is 100.

Main lines, most intense first (15° ≤ 2θ ≤ 90°):
Position (°2θ)	I_rel
27.65	100
23.60	72
39.29	57
26.98	55
38.75	40
23.97	23
48.34	20
39.67	18
57.09	12
45.68	11

Crystal structure
Unit cell a=9.1794 b=9.1794 c=9.0891 alpha=118.81 beta=118.81 gamma=59.89
Atoms (fractional coordinates):
Rb  0.0000  0.0000  0.0000
Rb  0.0000  0.5000  0.5000
Rb  0.5000  0.0000  0.5000
Rb  0.5000  0.5000  0.0000
Tl  0.0000  0.0000  0.5000
Tl  0.0000  0.5000  0.0000
Tl  0.5000  0.0000  0.0000
Ag  0.5000  0.5000  0.5000
Cl  0.2420  0.2420  0.2391
Cl  0.2489  0.2489  0.7516
Cl  0.2766  0.7206  0.2805
Cl  0.2794  0.7234  0.7195
Cl  0.7206  0.2766  0.2805
Cl  0.7234  0.2794  0.7195
Cl  0.7511  0.7511  0.2484
Cl  0.7580  0.7580  0.7609

Simulated X-ray powder pattern of RbZrAg2Cl8 for a wavelength of 1.5418 Å, from a DFT-relaxed cell (PBE, Alexandria).
Intensities are scaled so that the largest is 100.

Main lines, most intense first (15° ≤ 2θ ≤ 90°):
Position (°2θ)	I_rel
19.79	100
30.52	56
26.66	35
20.28	25
43.24	23
24.09	21
16.24	20
26.95	20
32.34	16
29.46	16

Crystal structure
Unit cell a=6.6311 b=6.7163 c=8.8803 alpha=93.91 beta=108.79 gamma=92.25
Atoms (fractional coordinates):
Rb  0.0000  0.0000  0.0000
Zr  0.5000  0.0000  0.5000
Ag  0.3967  0.4900  0.7972
Ag  0.6033  0.5100  0.2028
Cl  0.1522  0.8294  0.3542
Cl  0.2266  0.5241  0.0054
Cl  0.3154  0.3160  0.5260
Cl  0.4669  0.8971  0.7597
Cl  0.5331  0.1029  0.2403
Cl  0.6846  0.6840  0.4740
Cl  0.7734  0.4759  0.9946
Cl  0.8478  0.1706  0.6458

Simulated X-ray powder pattern of ReAg2Cl for a wavelength of 1.5418 Å, from a DFT-relaxed cell (PBE, Alexandria).
Intensities are scaled so that the largest is 100.

Main lines, most intense first (15° ≤ 2θ ≤ 90°):
Position (°2θ)	I_rel
40.16	100
35.27	38
36.27	30
17.91	24
66.59	22
51.49	21
67.87	16
75.45	11
86.72	10
45.27	10

Crystal structure
Unit cell a=2.9290 b=2.9290 c=9.9062 alpha=90.00 beta=90.00 gamma=120.66
Atoms (fractional coordinates):
Re  0.0000  0.0000  0.0000
Ag  0.0000  0.0000  0.4925
Ag  0.5000  0.5000  0.2445
Cl  0.5000  0.5000  0.8060

Simulated X-ray powder pattern of ReAg2Cl7 for a wavelength of 1.5418 Å, from a DFT-relaxed cell (PBE, Alexandria).
Intensities are scaled so that the largest is 100.

Main lines, most intense first (15° ≤ 2θ ≤ 90°):
Position (°2θ)	I_rel
16.80	100
17.23	77
24.21	73
24.84	62
25.58	40
50.97	28
34.55	27
40.38	26
17.74	26
28.54	21

Crystal structure
Unit cell a=7.8563 b=7.8563 c=11.2425 alpha=110.22 beta=110.22 gamma=81.86
Atoms (fractional coordinates):
Re  0.2388  0.7612  0.7500
Re  0.7612  0.2388  0.2500
Ag  0.0862  0.7552  0.3826
Ag  0.2448  0.9138  0.1174
Ag  0.7552  0.0862  0.8826
Ag  0.9138  0.2448  0.6174
Cl  0.0195  0.1555  0.4176
Cl  0.0357  0.5935  0.7719
Cl  0.1555  0.0195  0.9176
Cl  0.2837  0.7163  0.2500
Cl  0.3109  0.5272  0.5861
Cl  0.4065  0.9643  0.7281
Cl  0.4728  0.6891  0.9139
Cl  0.5272  0.3109  0.0861
Cl  0.5935  0.0357  0.2719
Cl  0.6891  0.4728  0.4139
Cl  0.7163  0.2837  0.7500
Cl  0.8445  0.9805  0.0824
Cl  0.9643  0.4065  0.2281
Cl  0.9805  0.8445  0.5824

Simulated X-ray powder pattern of ReAg3Cl8 for a wavelength of 1.5418 Å, from a DFT-relaxed cell (PBE, Alexandria).
Intensities are scaled so that the largest is 100.

Main lines, most intense first (15° ≤ 2θ ≤ 90°):
Position (°2θ)	I_rel
33.56	100
18.29	87
46.26	70
26.53	64
30.90	56
44.96	37
28.54	25
47.02	23
26.94	20
40.99	19

Crystal structure
Unit cell a=6.7968 b=6.7968 c=8.0682 alpha=90.00 beta=90.00 gamma=116.77
Atoms (fractional coordinates):
Re  0.0000  0.0000  0.0000
Ag  0.0000  0.0000  0.5000
Ag  0.0000  0.5000  0.2666
Ag  0.5000  0.0000  0.7334
Cl  0.2046  0.7954  0.0000
Cl  0.2109  0.7891  0.5000
Cl  0.2283  0.2370  0.2053
Cl  0.2370  0.2283  0.7947
Cl  0.7630  0.7717  0.7947
Cl  0.7717  0.7630  0.2053
Cl  0.7891  0.2109  0.5000
Cl  0.7954  0.2046  0.0000